[1]
# MnInCu
Theoretical powder XRD pattern, a wavelength of 1.5418 Å. Input: the PBE geometry in the Materials Project.
Intensities are scaled so that the largest is 100.

Top 8 peaks for 2θ from 10° to 90°, most intense first:
Position (°2θ), I/Imax
39.64, 100
39.84, 75
39.07, 61
39.27, 56
44.52, 31
22.49, 31
21.83, 27
40.12, 25

Structure:
Unit cell a=7.9061 b=5.5192 c=5.5192 alpha=59.35 beta=90.00 gamma=90.00
Sites, in units of the cell vectors:
Mn (0.1741, 0.0000, 0.0000)
Mn (0.2987, 0.6836, 0.6836)
Mn (0.7013, 0.6836, 0.6836)
Mn (0.8259, 0.0000, 0.0000)
In (0.0000, 0.5075, 0.5075)
In (0.5000, 0.1612, 0.1612)
In (0.5000, 0.1671, 0.6699)
In (0.5000, 0.6699, 0.1671)
Cu (0.0000, 0.5202, 0.9808)
Cu (0.0000, 0.9808, 0.5202)
Cu (0.2339, 0.3151, 0.3151)
Cu (0.7661, 0.3151, 0.3151)

[2]
# MnInCu2
Theoretical powder XRD pattern, a wavelength of 1.5418 Å. Input: the PBE geometry in the Materials Project.
Intensities are scaled so that the largest is 100.

Top 8 peaks for 2θ from 10° to 90°, most intense first:
Position (°2θ), I/Imax
41.32, 100
75.34, 30
59.86, 16
89.76, 10
24.96, 9
48.88, 5
65.88, 2
28.89, 2

Structure:
Unit cell a=6.1801 b=6.1801 c=6.1801 alpha=90.00 beta=90.00 gamma=90.00
Sites, in units of the cell vectors:
Mn (0.0000, 0.0000, 0.0000)
Mn (0.0000, 0.5000, 0.5000)
Mn (0.5000, 0.0000, 0.5000)
Mn (0.5000, 0.5000, 0.0000)
In (0.0000, 0.0000, 0.5000)
In (0.0000, 0.5000, 0.0000)
In (0.5000, 0.0000, 0.0000)
In (0.5000, 0.5000, 0.5000)
Cu (0.2500, 0.2500, 0.2500)
Cu (0.2500, 0.2500, 0.7500)
Cu (0.2500, 0.7500, 0.2500)
Cu (0.2500, 0.7500, 0.7500)
Cu (0.7500, 0.2500, 0.2500)
Cu (0.7500, 0.2500, 0.7500)
Cu (0.7500, 0.7500, 0.2500)
Cu (0.7500, 0.7500, 0.7500)

[3]
# MnInCuS4
Theoretical powder XRD pattern, a wavelength of 1.5418 Å. Input: the PBE geometry in the Materials Project.
Intensities are scaled so that the largest is 100.

Top 8 peaks for 2θ from 10° to 90°, most intense first:
Position (°2θ), I/Imax
26.67, 100
30.47, 84
14.42, 63
29.08, 62
46.69, 55
26.34, 52
39.94, 44
52.35, 43

Structure:
Unit cell a=6.1418 b=3.8430 c=6.7685 alpha=90.00 beta=90.40 gamma=90.00
Sites, in units of the cell vectors:
Mn (0.0000, 0.0000, 0.0000)
In (0.5179, 0.0000, 0.6622)
Cu (0.5176, 0.5000, 0.1638)
S (0.3716, 0.0000, 0.0154)
S (0.3722, 0.5000, 0.4752)
S (0.8791, 0.5000, 0.1294)
S (0.9209, 0.0000, 0.6918)

[4]
# Mn2InCuTe4
Theoretical powder XRD pattern, a wavelength of 1.5418 Å. Input: the PBE geometry in the Materials Project.
Intensities are scaled so that the largest is 100.

Top 8 peaks for 2θ from 10° to 90°, most intense first:
Position (°2θ), I/Imax
43.77, 100
30.53, 94
30.64, 45
54.33, 34
72.17, 29
80.38, 21
26.39, 16
72.37, 12

Structure:
Unit cell a=5.8557 b=5.8557 c=11.6719 alpha=90.00 beta=90.00 gamma=90.00
Sites, in units of the cell vectors:
Mn (0.0000, 0.5000, 0.2500)
Mn (0.0000, 0.5000, 0.7500)
Mn (0.5000, 0.0000, 0.2500)
Mn (0.5000, 0.0000, 0.7500)
In (0.0000, 0.0000, 0.0000)
In (0.5000, 0.5000, 0.5000)
Cu (0.0000, 0.0000, 0.5000)
Cu (0.5000, 0.5000, 0.0000)
Te (0.0000, 0.0000, 0.2653)
Te (0.0000, 0.0000, 0.7347)
Te (0.0000, 0.5000, 0.0000)
Te (0.0000, 0.5000, 0.5000)
Te (0.5000, 0.0000, 0.0000)
Te (0.5000, 0.0000, 0.5000)
Te (0.5000, 0.5000, 0.2347)
Te (0.5000, 0.5000, 0.7653)

[5]
# Sr8In4Cu3N5
Theoretical powder XRD pattern, a wavelength of 1.5418 Å. Input: the PBE geometry in the Materials Project.
Intensities are scaled so that the largest is 100.

Top 8 peaks for 2θ from 10° to 90°, most intense first:
Position (°2θ), I/Imax
33.02, 100
31.64, 94
31.85, 89
57.97, 32
55.72, 31
58.37, 23
47.09, 20
43.55, 19

Structure:
Unit cell a=11.5534 b=11.5534 c=11.5534 alpha=160.77 beta=114.69 gamma=68.79
Sites, in units of the cell vectors:
Sr (0.0627, 0.2109, 0.8518)
Sr (0.2494, 0.4016, 0.8478)
Sr (0.3591, 0.2109, 0.1482)
Sr (0.4461, 0.5984, 0.8478)
Sr (0.5539, 0.4016, 0.1522)
Sr (0.6409, 0.7891, 0.8518)
Sr (0.7506, 0.5984, 0.1522)
Sr (0.9373, 0.7891, 0.1482)
In (0.0839, 0.5839, 0.5000)
In (0.1477, 0.0000, 0.1477)
In (0.8523, 0.0000, 0.8523)
In (0.9161, 0.4161, 0.5000)
Cu (0.3076, 0.8076, 0.5000)
Cu (0.5000, 0.0000, 0.5000)
Cu (0.6924, 0.1924, 0.5000)
N (0.1544, 0.8057, 0.3487)
N (0.4570, 0.8057, 0.6513)
N (0.5000, 0.5000, 0.0000)
N (0.5430, 0.1943, 0.3487)
N (0.8456, 0.1943, 0.6513)

[6]
# NaIn10CuS16
Theoretical powder XRD pattern, a wavelength of 1.5418 Å. Input: the PBE geometry in the Materials Project.
Intensities are scaled so that the largest is 100.

Top 8 peaks for 2θ from 10° to 90°, most intense first:
Position (°2θ), I/Imax
26.93, 100
46.80, 68
42.79, 47
32.62, 40
13.97, 27
65.26, 21
86.92, 19
22.91, 19

Structure:
Unit cell a=7.7628 b=7.7628 c=10.9884 alpha=90.00 beta=90.00 gamma=90.00
Sites, in units of the cell vectors:
Na (0.0000, 0.0000, 0.0000)
In (0.0000, 0.2683, 0.6251)
In (0.0000, 0.5000, 0.2525)
In (0.0000, 0.7317, 0.6251)
In (0.2429, 0.5000, 0.8624)
In (0.2683, 0.0000, 0.3749)
In (0.5000, 0.0000, 0.7475)
In (0.5000, 0.2429, 0.1376)
In (0.5000, 0.7571, 0.1376)
In (0.7317, 0.0000, 0.3749)
In (0.7571, 0.5000, 0.8624)
Cu (0.5000, 0.5000, 0.5000)
S (0.0000, 0.2298, 0.3835)
S (0.0000, 0.2725, 0.8591)
S (0.0000, 0.7275, 0.8591)
S (0.0000, 0.7702, 0.3835)
S (0.2298, 0.0000, 0.6165)
S (0.2494, 0.5000, 0.6231)
S (0.2667, 0.5000, 0.1144)
S (0.2725, 0.0000, 0.1409)
S (0.5000, 0.2494, 0.3769)
S (0.5000, 0.2667, 0.8856)
S (0.5000, 0.7333, 0.8856)
S (0.5000, 0.7506, 0.3769)
S (0.7275, 0.0000, 0.1409)
S (0.7333, 0.5000, 0.1144)
S (0.7506, 0.5000, 0.6231)
S (0.7702, 0.0000, 0.6165)

[7]
# Nd2In3Cu9
Theoretical powder XRD pattern, a wavelength of 1.5418 Å. Input: the PBE geometry in the Materials Project.
Intensities are scaled so that the largest is 100.

Top 8 peaks for 2θ from 10° to 90°, most intense first:
Position (°2θ), I/Imax
36.97, 100
43.56, 94
37.13, 70
35.13, 47
34.70, 47
44.55, 36
41.69, 29
63.67, 24

Structure:
Unit cell a=10.7069 b=17.1049 c=5.1709 alpha=90.00 beta=90.00 gamma=90.00
Sites, in units of the cell vectors:
Nd (0.0000, 0.0000, 0.0000)
Nd (0.0000, 0.5000, 0.0000)
Nd (0.1216, 0.2361, 0.5000)
Nd (0.3784, 0.7361, 0.0000)
Nd (0.5000, 0.0000, 0.5000)
Nd (0.5000, 0.5000, 0.5000)
Nd (0.6216, 0.2639, 0.0000)
Nd (0.8784, 0.7639, 0.5000)
In (0.0412, 0.4095, 0.5000)
In (0.0833, 0.8061, 0.0000)
In (0.1940, 0.0491, 0.5000)
In (0.3060, 0.5491, 0.0000)
In (0.4167, 0.3061, 0.5000)
In (0.4588, 0.9095, 0.0000)
In (0.5412, 0.0905, 0.0000)
In (0.5833, 0.6939, 0.5000)
In (0.6940, 0.4509, 0.0000)
In (0.8060, 0.9509, 0.5000)
In (0.9167, 0.1939, 0.0000)
In (0.9588, 0.5905, 0.5000)
Cu (0.0461, 0.9035, 0.5000)
Cu (0.0707, 0.3290, 0.0000)
Cu (0.1408, 0.6608, 0.2418)
Cu (0.1408, 0.6608, 0.7582)
Cu (0.1578, 0.1527, 0.0000)
Cu (0.2014, 0.7812, 0.5000)
Cu (0.2024, 0.5350, 0.5000)
Cu (0.2468, 0.9061, 0.2552)
Cu (0.2468, 0.9061, 0.7448)
Cu (0.2532, 0.4061, 0.2448)
Cu (0.2532, 0.4061, 0.7552)
Cu (0.2976, 0.0350, 0.0000)
Cu (0.2986, 0.2812, 0.0000)
Cu (0.3422, 0.6527, 0.5000)
Cu (0.3592, 0.1608, 0.2582)
Cu (0.3592, 0.1608, 0.7418)
Cu (0.4293, 0.8290, 0.5000)
Cu (0.4539, 0.4035, 0.0000)
Cu (0.5461, 0.5965, 0.0000)
Cu (0.5707, 0.1710, 0.5000)
Cu (0.6408, 0.8392, 0.2582)
Cu (0.6408, 0.8392, 0.7418)
Cu (0.6578, 0.3473, 0.5000)
Cu (0.7014, 0.7188, 0.0000)
Cu (0.7024, 0.9650, 0.0000)
Cu (0.7468, 0.5939, 0.2448)
Cu (0.7468, 0.5939, 0.7552)
Cu (0.7532, 0.0939, 0.2552)
Cu (0.7532, 0.0939, 0.7448)
Cu (0.7976, 0.4650, 0.5000)
Cu (0.7986, 0.2188, 0.5000)
Cu (0.8422, 0.8473, 0.0000)
Cu (0.8592, 0.3392, 0.2418)
Cu (0.8592, 0.3392, 0.7582)
Cu (0.9293, 0.6710, 0.0000)
Cu (0.9539, 0.0965, 0.5000)

[8]
# InCuNi
Theoretical powder XRD pattern, a wavelength of 1.5418 Å. Input: the PBE geometry in the Materials Project.
Intensities are scaled so that the largest is 100.

Top 8 peaks for 2θ from 10° to 90°, most intense first:
Position (°2θ), I/Imax
41.59, 100
41.45, 80
75.84, 40
60.17, 25
85.29, 23
54.45, 21
29.03, 14
33.53, 14

Structure:
Unit cell a=4.3424 b=4.3424 c=5.3448 alpha=90.00 beta=90.00 gamma=120.00
Sites, in units of the cell vectors:
In (0.3333, 0.6667, 0.2500)
In (0.6667, 0.3333, 0.7500)
Cu (0.3333, 0.6667, 0.7500)
Cu (0.6667, 0.3333, 0.2500)
Ni (0.0000, 0.0000, 0.0000)
Ni (0.0000, 0.0000, 0.5000)

[9]
# InCuNiSe3
Theoretical powder XRD pattern, a wavelength of 1.5418 Å. Input: the PBE geometry in the Materials Project.
Intensities are scaled so that the largest is 100.

Top 8 peaks for 2θ from 10° to 90°, most intense first:
Position (°2θ), I/Imax
27.16, 100
45.08, 58
53.41, 27
53.52, 13
45.20, 12
83.17, 11
72.40, 9
65.74, 6

Structure:
Unit cell a=12.7169 b=12.7169 c=11.3913 alpha=90.02 beta=90.02 gamma=143.22
Sites, in units of the cell vectors:
In (0.0800, 0.9200, 0.5000)
In (0.0839, 0.4164, 0.7447)
In (0.2398, 0.7452, 0.9947)
In (0.4164, 0.0839, 0.2447)
In (0.4255, 0.5914, 0.4910)
In (0.5914, 0.4255, 0.9910)
In (0.7452, 0.2398, 0.4947)
In (0.9200, 0.0800, 0.0000)
Cu (0.0759, 0.9097, 0.9925)
Cu (0.0841, 0.4171, 0.2454)
Cu (0.2601, 0.7546, 0.4947)
Cu (0.4171, 0.0841, 0.7454)
Cu (0.4193, 0.5804, 0.9984)
Cu (0.5804, 0.4193, 0.4984)
Cu (0.7546, 0.2601, 0.9947)
Cu (0.9097, 0.0759, 0.4925)
Ni (0.2485, 0.2529, 0.2513)
Ni (0.2529, 0.2485, 0.7513)
Ni (0.5850, 0.9165, 0.7372)
Ni (0.5862, 0.9131, 0.2471)
Ni (0.7505, 0.7497, 0.2452)
Ni (0.7497, 0.7505, 0.7452)
Ni (0.9131, 0.5862, 0.7471)
Ni (0.9165, 0.5850, 0.2372)
Se (0.0044, 0.9921, 0.8533)
Se (0.0089, 0.5269, 0.6230)
Se (0.1483, 0.8045, 0.3697)
Se (0.1544, 0.8352, 0.8585)
Se (0.1586, 0.3062, 0.6212)
Se (0.1871, 0.3510, 0.1325)
Se (0.3062, 0.1586, 0.1212)
Se (0.3334, 0.6779, 0.3586)
Se (0.3510, 0.1871, 0.6325)
Se (0.3653, 0.6851, 0.8700)
Se (0.4835, 0.9809, 0.6326)
Se (0.4957, 0.5083, 0.8538)
Se (0.5083, 0.4957, 0.3538)
Se (0.5269, 0.0089, 0.1230)
Se (0.6502, 0.8137, 0.1378)
Se (0.6779, 0.3334, 0.8586)
Se (0.6851, 0.3653, 0.3700)
Se (0.6870, 0.8515, 0.6358)
Se (0.8045, 0.1483, 0.8697)
Se (0.8137, 0.6502, 0.6378)
Se (0.8352, 0.1544, 0.3585)
Se (0.8515, 0.6870, 0.1358)
Se (0.9809, 0.4835, 0.1326)
Se (0.9921, 0.0044, 0.3533)

[10]
# InCu6O8
Theoretical powder XRD pattern, a wavelength of 1.5418 Å. Input: the PBE geometry in the Materials Project.
Intensities are scaled so that the largest is 100.

Top 8 peaks for 2θ from 10° to 90°, most intense first:
Position (°2θ), I/Imax
33.60, 100
16.62, 47
56.33, 44
67.21, 36
38.99, 30
42.66, 18
70.63, 8
59.16, 7

Structure:
Unit cell a=6.5331 b=6.5331 c=6.5331 alpha=60.00 beta=60.00 gamma=60.00
Sites, in units of the cell vectors:
In (0.0000, 0.0000, 0.0000)
Cu (0.0000, 0.0000, 0.5000)
Cu (0.0000, 0.5000, 0.0000)
Cu (0.0000, 0.5000, 0.5000)
Cu (0.5000, 0.0000, 0.0000)
Cu (0.5000, 0.0000, 0.5000)
Cu (0.5000, 0.5000, 0.0000)
O (0.1426, 0.1426, 0.1426)
O (0.1426, 0.1426, 0.5723)
O (0.1426, 0.5723, 0.1426)
O (0.4277, 0.8574, 0.8574)
O (0.5723, 0.1426, 0.1426)
O (0.8574, 0.4277, 0.8574)
O (0.8574, 0.8574, 0.4277)
O (0.8574, 0.8574, 0.8574)